# 1
For La5SmY12, a structure optimized by DFT (GGA-PBE) gives the calculated X-ray diffraction stick pattern in this record (λ = 1.5418 Å (Cu Kα)).
Lines closer than 0.1° are merged.

Top 10 peaks for 2θ from 5° to 70°, in order of rising 2θ:
Position (°2θ)  intensity
30.14  100
30.24  99
34.99  67
35.04  33
50.18  12
50.35  47
59.71  28
59.88  55
62.66  12
62.90  12

Atomic structure:
a = 18.8466 Å, b = 10.8538 Å, c = 6.2814 Å
α = 90.00°, β = 109.26°, γ = 90.00°
Space group C2/m (No. 12)
Inequivalent atoms, fractional coordinates:
La (0.0000, 0.0000, 0.0000)
La (0.1663, 0.0000, 0.5004)
La (0.1657, 0.5000, 0.9986)
Sm (0.0000, 0.5000, 0.5000)
Y (0.0000, 0.1700, 0.5000)
Y (0.0000, 0.3325, 0.0000)
Y (0.1658, 0.3324, 0.4984)
Y (0.1668, 0.1688, 0.0007)

***

# 2
For La7SmY4, a structure optimized by DFT (GGA-PBE) gives the calculated X-ray diffraction stick pattern in this record (λ = 1.5418 Å (Cu Kα)).
Lines closer than 0.1° are merged.

Top 10 peaks for 2θ from 5° to 70°, in order of rising 2θ:
Position (°2θ)  intensity
25.13  47
28.20  78
30.53  42
30.63  41
31.10  51
31.44  100
31.61  38
32.17  51
33.57  43
51.56  36

Atomic structure:
a = 6.3459 Å, b = 7.0882 Å, c = 10.1071 Å
α = 69.81°, β = 87.80°, γ = 89.98°
Space group P-1 (No. 2)
Inequivalent atoms, fractional coordinates:
La (0.0000, 0.0000, 0.0000)
La (0.1900, 0.7087, 0.5895)
La (0.2548, 0.5325, 0.9333)
La (0.2732, 0.1892, 0.6277)
Sm (0.5000, 0.0000, 0.0000)
Y (0.2729, 0.5990, 0.2761)
Y (0.2763, 0.1242, 0.2762)